This entry pairs a crystal structure of Sr12Zn2Co6O25 with its calculated powder diffraction line list. Radiation: Cu Kα. Structure: a structure optimized by DFT (PBE+U).
No peak broadening, texture or thermal motion is included.

Crystal structure
a = 7.842 Å, b = 7.842 Å, c = 10.403 Å
α = 100.91°, β = 100.91°, γ = 90.00°
Positions (direct):
Sr 0.164 0.164 0.641
Sr 0.165 0.657 0.644
Sr 0.242 0.758 0.000
Sr 0.243 0.243 0.001
Sr 0.343 0.343 0.358
Sr 0.343 0.835 0.356
Sr 0.657 0.165 0.644
Sr 0.657 0.657 0.642
Sr 0.757 0.757 0.999
Sr 0.758 0.242 0.000
Sr 0.835 0.343 0.356
Sr 0.836 0.836 0.359
Zn 0.449 0.449 0.798
Zn 0.551 0.551 0.202
Co 0.048 0.048 0.194
Co 0.052 0.553 0.210
Co 0.447 0.948 0.790
Co 0.553 0.052 0.210
Co 0.948 0.447 0.790
Co 0.952 0.952 0.806
O 0.000 0.000 0.000
O 0.045 0.309 0.184
O 0.045 0.783 0.182
O 0.092 0.092 0.377
O 0.095 0.602 0.395
O 0.196 0.459 0.835
O 0.217 0.955 0.818
O 0.279 0.542 0.167
O 0.309 0.045 0.184
O 0.396 0.396 0.601
O 0.398 0.905 0.605
O 0.458 0.721 0.833
O 0.459 0.196 0.835
O 0.541 0.804 0.165
O 0.542 0.279 0.167
O 0.602 0.095 0.395
O 0.604 0.604 0.399
O 0.691 0.955 0.816
O 0.721 0.458 0.833
O 0.783 0.045 0.182
O 0.804 0.541 0.165
O 0.905 0.398 0.605
O 0.908 0.908 0.623
O 0.955 0.217 0.818
O 0.955 0.691 0.816

Most intense lines, 2θ = 10–90°, in order of rising 2θ:
two_theta	I/Imax
31.92	100
32.29	64
38.94	10
42.36	23
46.31	41
56.66	11
57.35	37
66.73	11
67.57	12
76.89	10